Computed powder XRD pattern of La4N3F for λ = 1.5418 Å (Cu Kα), from a structure optimized by DFT (PBE).
Kinematic intensities with the Lorentz-polarization factor, no thermal factor.

Structural model:
a b c (Å): 7.5273 10.5164 3.7189
angles (deg): 90.00 90.00 90.00
Space group Cmmm (No. 65)
One atom of each set of equivalent atoms:
La: 0.0000 0.2445 0.0000 [4 per cell]
La: 0.2336 0.0000 0.5000 [4 per cell]
N: 0.0000 0.0000 0.0000 [2 per cell]
N: 0.2500 0.2500 0.5000 [4 per cell]
F: 0.0000 0.5000 0.0000 [2 per cell]

Top 12 peaks for 15° ≤ 2θ ≤ 90°, by angle:
2θ = 29.18°, I = 929
2θ = 29.42°, I = 932
2θ = 33.89°, I = 1000
2θ = 34.10°, I = 497
2θ = 48.37°, I = 168
2θ = 48.84°, I = 686
2θ = 48.99°, I = 175
2θ = 57.63°, I = 269
2θ = 58.04°, I = 421
2θ = 60.50°, I = 166
2θ = 61.04°, I = 175
2θ = 81.81°, I = 216